[1]
Simulated powder diffraction line list
Compound: Ce6PmTh8
Radiation: Cu Kα
Structure: DFT lattice parameters and positions (GGA-PBE)

Cell lengths 9.3679, 9.3679, 6.4246 Å; angles 90.00, 90.00, 120.00 degrees
Fractional positions:
Ce  0.0663  0.6458  0.1248
Ce  0.3542  0.4205  0.1248
Ce  0.4205  0.0663  0.8752
Ce  0.5795  0.9337  0.1248
Ce  0.6458  0.5795  0.8752
Ce  0.9337  0.3542  0.8752
Pm  0.0000  0.0000  0.0000
Th  0.0058  0.7074  0.6337
Th  0.2926  0.2984  0.6337
Th  0.2984  0.0058  0.3663
Th  0.3333  0.6667  0.6054
Th  0.6667  0.3333  0.3946
Th  0.7016  0.9942  0.6337
Th  0.7074  0.7016  0.3663
Th  0.9942  0.2926  0.3663

Most intense lines, 10° ≤ 2θ ≤ 90°, by intensity:
- d 2.649, I 100
- d 2.704, I 77
- d 2.767, I 64
- d 3.430, I 42
- d 1.788, I 27
- d 1.421, I 22
- d 1.893, I 18
- d 2.987, I 17
- d 1.551, I 16
- d 2.492, I 15
- d 3.785, I 15
- d 1.381, I 13



[2]
Simulated powder diffraction line list
Compound: CePmTh3
Radiation: Cu Kα
Structure: DFT lattice parameters and positions (GGA-PBE)

Cell lengths 3.5536, 3.5536, 28.9961 Å; angles 90.00, 90.00, 120.00 degrees
Fractional positions:
Ce  0.3333  0.6667  0.0000
Ce  0.6667  0.3333  0.5000
Pm  0.0000  0.0000  0.3035
Pm  0.0000  0.0000  0.8035
Th  0.0000  0.0000  0.0976
Th  0.0000  0.0000  0.5976
Th  0.3333  0.6667  0.4041
Th  0.3333  0.6667  0.6972
Th  0.6667  0.3333  0.1972
Th  0.6667  0.3333  0.9041

Most intense lines, 10° ≤ 2θ ≤ 90°, by intensity:
- d 2.833, I 100
- d 2.932, I 88
- d 2.900, I 65
- d 2.470, I 62
- d 2.596, I 59
- d 1.515, I 57
- d 1.777, I 49
- d 1.718, I 29
- d 1.123, I 20
- d 1.806, I 18
- d 1.505, I 15
- d 1.492, I 14



[3]
Simulated powder diffraction line list
Compound: Ce2Pm3Tl6
Radiation: Cu Kα
Structure: DFT lattice parameters and positions (GGA-PBE)

Cell lengths 15.1864, 15.1864, 15.1864 Å; angles 161.98, 161.98, 25.60 degrees
Fractional positions:
Ce  0.0433  0.0433  0.0000
Ce  0.9567  0.9567  0.0000
Pm  0.2990  0.2990  0.0000
Pm  0.5000  0.5000  0.0000
Pm  0.7010  0.7010  0.0000
Tl  0.1155  0.6155  0.5000
Tl  0.1927  0.1927  0.0000
Tl  0.3845  0.8845  0.5000
Tl  0.6155  0.1155  0.5000
Tl  0.8073  0.8073  0.0000
Tl  0.8845  0.3845  0.5000

Most intense lines, 10° ≤ 2θ ≤ 90°, by intensity:
- d 3.063, I 100
- d 2.490, I 71
- d 2.379, I 64
- d 2.780, I 27
- d 1.394, I 24
- d 1.474, I 23
- d 1.682, I 22
- d 1.854, I 20
- d 1.713, I 17
- d 7.405, I 16
- d 2.962, I 16
- d 1.462, I 14



[4]
Simulated powder diffraction line list
Compound: Ce2PmTl3
Radiation: Cu Kα
Structure: DFT lattice parameters and positions (GGA-PBE)

Cell lengths 3.5330, 3.5330, 13.7870 Å; angles 90.00, 90.00, 90.00 degrees
Fractional positions:
Ce  0.0000  0.0000  0.1677
Ce  0.0000  0.0000  0.8323
Pm  0.0000  0.0000  0.5000
Tl  0.5000  0.5000  0.0000
Tl  0.5000  0.5000  0.3344
Tl  0.5000  0.5000  0.6656

Most intense lines, 10° ≤ 2θ ≤ 90°, by intensity:
- d 2.801, I 100
- d 2.498, I 37
- d 1.494, I 30
- d 1.691, I 23
- d 2.298, I 14
- d 1.766, I 13
- d 1.405, I 12
- d 1.400, I 12
- d 1.100, I 12
- d 1.141, I 6
- d 1.117, I 6
- d 1.097, I 6



[5]
Simulated powder diffraction line list
Compound: CePm7Tl4
Radiation: Cu Kα
Structure: DFT lattice parameters and positions (GGA-PBE)

Cell lengths 8.1277, 8.1277, 10.0398 Å; angles 119.07, 119.07, 42.23 degrees
Fractional positions:
Ce  0.0000  0.0000  0.0000
Pm  0.0675  0.0675  0.4041
Pm  0.1997  0.1997  0.8816
Pm  0.2556  0.2556  0.3025
Pm  0.5000  0.5000  0.0000
Pm  0.7444  0.7444  0.6975
Pm  0.8003  0.8003  0.1184
Pm  0.9325  0.9325  0.5959
Tl  0.3159  0.3159  0.6600
Tl  0.4502  0.4502  0.2819
Tl  0.5498  0.5498  0.7181
Tl  0.6841  0.6841  0.3400

Most intense lines, 10° ≤ 2θ ≤ 90°, by intensity:
- d 2.928, I 100
- d 2.626, I 88
- d 3.081, I 46
- d 3.038, I 38
- d 2.832, I 34
- d 2.122, I 33
- d 2.779, I 29
- d 2.876, I 28
- d 2.857, I 26
- d 2.045, I 24
- d 2.500, I 23
- d 2.938, I 22



[6]
Simulated powder diffraction line list
Compound: CePm6Tm
Radiation: Cu Kα
Structure: DFT lattice parameters and positions (GGA-PBE)

Cell lengths 5.1079, 5.1079, 20.4786 Å; angles 90.00, 90.00, 90.00 degrees
Fractional positions:
Ce  0.0000  0.0000  0.0000
Ce  0.5000  0.5000  0.5000
Pm  0.0000  0.0000  0.2482
Pm  0.0000  0.0000  0.7518
Pm  0.0000  0.5000  0.1221
Pm  0.0000  0.5000  0.3779
Pm  0.0000  0.5000  0.6221
Pm  0.0000  0.5000  0.8779
Pm  0.5000  0.0000  0.1221
Pm  0.5000  0.0000  0.3779
Pm  0.5000  0.0000  0.6221
Pm  0.5000  0.0000  0.8779
Pm  0.5000  0.5000  0.2518
Pm  0.5000  0.5000  0.7482
Tm  0.0000  0.0000  0.5000
Tm  0.5000  0.5000  0.0000

Most intense lines, 10° ≤ 2θ ≤ 90°, by intensity:
- d 2.951, I 100
- d 2.556, I 51
- d 1.807, I 36
- d 1.540, I 29
- d 1.173, I 17
- d 1.543, I 14
- d 1.476, I 12
- d 1.142, I 11
- d 1.144, I 5
- d 1.277, I 4
- d 1.280, I 2



[7]
Simulated powder diffraction line list
Compound: CePm12Tm5
Radiation: Cu Kα
Structure: DFT lattice parameters and positions (GGA-PBE)

Cell lengths 10.5626, 10.5626, 5.9283 Å; angles 90.03, 90.03, 115.80 degrees
Fractional positions:
Ce  0.0000  0.0000  0.0000
Pm  0.0164  0.6705  0.9978
Pm  0.1633  0.1633  0.4960
Pm  0.1706  0.5101  0.5018
Pm  0.3280  0.3280  0.9957
Pm  0.3295  0.9836  0.0022
Pm  0.4899  0.8294  0.4982
Pm  0.5101  0.1706  0.5018
Pm  0.6705  0.0164  0.9978
Pm  0.6720  0.6720  0.0043
Pm  0.8294  0.4899  0.4982
Pm  0.8367  0.8367  0.5040
Pm  0.9836  0.3295  0.0022
Tm  0.1628  0.8372  0.5000
Tm  0.3417  0.6583  0.0000
Tm  0.5000  0.5000  0.5000
Tm  0.6583  0.3417  0.0000
Tm  0.8372  0.1628  0.5000

Most intense lines, 10° ≤ 2θ ≤ 90°, by intensity:
- d 2.795, I 100
- d 2.964, I 30
- d 2.983, I 29
- d 1.677, I 22
- d 2.102, I 22
- d 1.684, I 21
- d 1.584, I 13
- d 1.398, I 11
- d 1.313, I 9
- d 1.871, I 8
- d 1.196, I 7
- d 1.111, I 6



[8]
Simulated powder diffraction line list
Compound: CePm4Tm4
Radiation: Cu Kα
Structure: DFT lattice parameters and positions (GGA-PBE)

Cell lengths 7.9658, 7.9658, 7.9658 Å; angles 95.75, 95.75, 143.09 degrees
Fractional positions:
Ce  0.0000  0.0000  0.0000
Pm  0.0000  0.3291  0.3291
Pm  0.0000  0.6709  0.6709
Pm  0.3291  0.0000  0.3291
Pm  0.6709  0.0000  0.6709
Tm  0.3354  0.3354  0.6709
Tm  0.3354  0.6646  0.0000
Tm  0.6646  0.3354  0.0000
Tm  0.6646  0.6646  0.3291

Most intense lines, 10° ≤ 2θ ≤ 90°, by intensity:
- d 2.910, I 100
- d 2.520, I 51
- d 1.519, I 43
- d 1.782, I 36
- d 1.156, I 18
- d 1.455, I 12
- d 1.127, I 11
- d 1.126, I 5
- d 1.259, I 4
- d 1.261, I 2



[9]
Simulated powder diffraction line list
Compound: CePm8Tm5
Radiation: Cu Kα
Structure: DFT lattice parameters and positions (GGA-PBE)

Cell lengths 8.4698, 8.4698, 8.4698 Å; angles 111.93, 111.93, 104.65 degrees
Fractional positions:
Ce  0.0000  0.0000  0.0000
Pm  0.0848  0.3131  0.3967
Pm  0.2820  0.1775  0.7547
Pm  0.3119  0.9152  0.2283
Pm  0.4228  0.5272  0.2453
Pm  0.4728  0.7180  0.8955
Pm  0.6869  0.0836  0.7717
Pm  0.8225  0.5772  0.1045
Pm  0.9164  0.6881  0.6033
Tm  0.0275  0.4335  0.8148
Tm  0.2500  0.7500  0.5000
Tm  0.5665  0.3813  0.5940
Tm  0.6187  0.2127  0.1852
Tm  0.7873  0.9725  0.4060

Most intense lines, 10° ≤ 2θ ≤ 90°, by intensity:
- d 2.677, I 100
- d 2.998, I 74
- d 3.022, I 65
- d 3.243, I 56
- d 2.548, I 42
- d 2.594, I 36
- d 2.814, I 24
- d 1.662, I 22
- d 1.496, I 22
- d 1.640, I 17
- d 1.749, I 16
- d 2.050, I 16



[10]
Simulated powder diffraction line list
Compound: CePm12Tm2
Radiation: Cu Kα
Structure: DFT lattice parameters and positions (GGA-PBE)

Cell lengths 6.5004, 6.5004, 25.4655 Å; angles 90.00, 90.00, 90.00 degrees
Fractional positions:
Ce  0.2500  0.7500  0.0000
Ce  0.7500  0.2500  0.0000
Pm  0.0679  0.5679  0.1145
Pm  0.0679  0.9321  0.8855
Pm  0.0816  0.5816  0.5623
Pm  0.0816  0.9184  0.4377
Pm  0.2500  0.2500  0.2157
Pm  0.2500  0.2500  0.3371
Pm  0.2500  0.2500  0.6629
Pm  0.2500  0.2500  0.7843
Pm  0.4184  0.5816  0.4377
Pm  0.4184  0.9184  0.5623
Pm  0.4321  0.5679  0.8855
Pm  0.4321  0.9321  0.1145
Pm  0.5679  0.0679  0.8855
Pm  0.5679  0.4321  0.1145
Pm  0.5816  0.0816  0.4377
Pm  0.5816  0.4184  0.5623
Pm  0.7500  0.7500  0.2157
Pm  0.7500  0.7500  0.3371
Pm  0.7500  0.7500  0.6629
Pm  0.7500  0.7500  0.7843
Pm  0.9184  0.0816  0.5623
Pm  0.9184  0.4184  0.4377
Pm  0.9321  0.0679  0.1145
Pm  0.9321  0.4321  0.8855
Tm  0.2500  0.7500  0.2742
Tm  0.2500  0.7500  0.7258
Tm  0.7500  0.2500  0.2742
Tm  0.7500  0.2500  0.7258

Most intense lines, 10° ≤ 2θ ≤ 90°, by intensity:
- d 2.832, I 100
- d 2.853, I 75
- d 3.149, I 61
- d 2.895, I 46
- d 3.035, I 42
- d 1.663, I 41
- d 2.298, I 39
- d 2.525, I 32
- d 2.644, I 31
- d 1.957, I 23
- d 1.811, I 22
- d 2.271, I 21



[11]
Simulated powder diffraction line list
Compound: CePm14Y
Radiation: Cu Kα
Structure: DFT lattice parameters and positions (GGA-PBE)

Cell lengths 7.2840, 7.2840, 10.2935 Å; angles 90.00, 90.00, 90.00 degrees
Fractional positions:
Ce  0.0000  0.0000  0.0000
Pm  0.0000  0.0000  0.5000
Pm  0.0000  0.5000  0.0000
Pm  0.0000  0.5000  0.5000
Pm  0.2487  0.2487  0.2479
Pm  0.2487  0.2487  0.7521
Pm  0.2487  0.7513  0.2479
Pm  0.2487  0.7513  0.7521
Pm  0.5000  0.0000  0.0000
Pm  0.5000  0.0000  0.5000
Pm  0.5000  0.5000  0.5000
Pm  0.7513  0.2487  0.2479
Pm  0.7513  0.2487  0.7521
Pm  0.7513  0.7513  0.2479
Pm  0.7513  0.7513  0.7521
Y  0.5000  0.5000  0.0000

Most intense lines, 10° ≤ 2θ ≤ 90°, by intensity:
- d 2.973, I 100
- d 2.575, I 51
- d 1.553, I 43
- d 1.821, I 36
- d 1.181, I 18
- d 1.151, I 16
- d 1.486, I 12
- d 1.287, I 6



[12]
Simulated powder diffraction line list
Compound: CePm3Y4
Radiation: Cu Kα
Structure: DFT lattice parameters and positions (GGA-PBE)

Cell lengths 25.4428, 3.4495, 6.1231 Å; angles 90.00, 95.20, 90.00 degrees
Fractional positions:
Ce  0.0000  0.0000  0.0000
Ce  0.5000  0.5000  0.0000
Pm  0.0000  0.5000  0.5000
Pm  0.1450  0.5000  0.7473
Pm  0.3550  0.0000  0.2527
Pm  0.5000  0.0000  0.5000
Pm  0.6450  0.0000  0.7473
Pm  0.8550  0.5000  0.2527
Y  0.1056  0.5000  0.2296
Y  0.2214  0.0000  0.2370
Y  0.2786  0.5000  0.7630
Y  0.3944  0.0000  0.7704
Y  0.6056  0.0000  0.2296
Y  0.7214  0.5000  0.2370
Y  0.7786  0.0000  0.7630
Y  0.8944  0.5000  0.7704

Most intense lines, 10° ≤ 2θ ≤ 90°, by intensity:
- d 2.997, I 100
- d 2.851, I 76
- d 2.790, I 60
- d 3.167, I 57
- d 3.027, I 47
- d 2.921, I 47
- d 2.534, I 46
- d 2.101, I 40
- d 2.712, I 39
- d 2.497, I 39
- d 3.418, I 38
- d 2.655, I 35



Please write out number 12 again, unchanged.
Simulated powder diffraction line list
Compound: CePm3Y4
Radiation: Cu Kα
Structure: DFT lattice parameters and positions (GGA-PBE)

Cell lengths 25.4428, 3.4495, 6.1231 Å; angles 90.00, 95.20, 90.00 degrees
Fractional positions:
Ce  0.0000  0.0000  0.0000
Ce  0.5000  0.5000  0.0000
Pm  0.0000  0.5000  0.5000
Pm  0.1450  0.5000  0.7473
Pm  0.3550  0.0000  0.2527
Pm  0.5000  0.0000  0.5000
Pm  0.6450  0.0000  0.7473
Pm  0.8550  0.5000  0.2527
Y  0.1056  0.5000  0.2296
Y  0.2214  0.0000  0.2370
Y  0.2786  0.5000  0.7630
Y  0.3944  0.0000  0.7704
Y  0.6056  0.0000  0.2296
Y  0.7214  0.5000  0.2370
Y  0.7786  0.0000  0.7630
Y  0.8944  0.5000  0.7704

Most intense lines, 10° ≤ 2θ ≤ 90°, by intensity:
- d 2.997, I 100
- d 2.851, I 76
- d 2.790, I 60
- d 3.167, I 57
- d 3.027, I 47
- d 2.921, I 47
- d 2.534, I 46
- d 2.101, I 40
- d 2.712, I 39
- d 2.497, I 39
- d 3.418, I 38
- d 2.655, I 35